Entry 1:
For Ba4SeN12, a crystal structure in Alexandria, relaxed with PBE gives the theoretical PXRD pattern in this record (Cu Kα X-rays).
Intensities are scaled so that the largest is 100.

Cell and atoms:
Unit cell a=7.6705 b=7.6705 c=7.6705 alpha=109.47 beta=109.47 gamma=109.47
Fractional positions:
Ba 0.0000 0.0000 0.5000
Ba 0.0000 0.5000 0.0000
Ba 0.5000 0.0000 0.0000
Ba 0.5000 0.5000 0.5000
Se 0.0000 0.0000 0.0000
N 0.1559 0.5895 0.4336
N 0.1559 0.7223 0.5664
N 0.2777 0.4336 0.8441
N 0.4105 0.5664 0.8441
N 0.4336 0.1559 0.5895
N 0.4336 0.8441 0.2777
N 0.5664 0.1559 0.7223
N 0.5664 0.8441 0.4105
N 0.5895 0.4336 0.1559
N 0.7223 0.5664 0.1559
N 0.8441 0.2777 0.4336
N 0.8441 0.4105 0.5664

Principal peaks in the range 2θ from 10° to 90°, low angle first:
| two_theta | I_rel |
| --- | --- |
| 20.05 | 43 |
| 28.50 | 100 |
| 35.10 | 25 |
| 45.82 | 32 |
| 50.48 | 36 |
| 81.29 | 22 |



Entry 2:
For Nd3ScAl8, a crystal structure in Alexandria, relaxed with PBE gives the theoretical PXRD pattern in this record (Cu Kα X-rays).
Intensities are scaled so that the largest is 100.

Cell and atoms:
Unit cell a=5.6026 b=5.6026 c=9.2225 alpha=90.00 beta=90.00 gamma=120.00
Fractional positions:
Nd 0.0000 0.0000 0.0000
Nd 0.0000 0.0000 0.3654
Nd 0.3333 0.6667 0.8602
Sc 0.3333 0.6667 0.4989
Al 0.0095 0.5048 0.1850
Al 0.3253 0.1627 0.6743
Al 0.4952 0.5048 0.1850
Al 0.4952 0.9905 0.1850
Al 0.6667 0.3333 0.4319
Al 0.6667 0.3333 0.9265
Al 0.8373 0.1627 0.6743
Al 0.8373 0.6747 0.6743

Principal peaks in the range 2θ from 10° to 90°, low angle first:
| two_theta | I_rel |
| --- | --- |
| 18.28 | 39 |
| 20.69 | 41 |
| 31.95 | 70 |
| 34.54 | 100 |
| 37.57 | 71 |
| 58.61 | 41 |



Entry 3:
For La2HI5, a crystal structure in Alexandria, relaxed with PBE gives the theoretical PXRD pattern in this record (Cu Kα X-rays).
Intensities are scaled so that the largest is 100.

Cell and atoms:
Unit cell a=8.1415 b=8.1415 c=21.4911 alpha=90.00 beta=90.00 gamma=151.77
Fractional positions:
La 0.2402 0.7598 0.6608
La 0.2402 0.7598 0.8392
La 0.7598 0.2402 0.1608
La 0.7598 0.2402 0.3392
H 0.2208 0.7792 0.2500
H 0.7792 0.2208 0.7500
I 0.1104 0.8896 0.1257
I 0.1104 0.8896 0.3743
I 0.3508 0.6492 0.0670
I 0.3508 0.6492 0.4330
I 0.4006 0.5994 0.2500
I 0.5994 0.4006 0.7500
I 0.6492 0.3508 0.5670
I 0.6492 0.3508 0.9330
I 0.8896 0.1104 0.6257
I 0.8896 0.1104 0.8743

Principal peaks in the range 2θ from 10° to 90°, low angle first:
| two_theta | I_rel |
| --- | --- |
| 11.21 | 41 |
| 16.50 | 26 |
| 23.57 | 49 |
| 28.48 | 100 |
| 31.19 | 34 |
| 33.79 | 23 |



Entry 4:
For NaPaCu2Te4, a crystal structure in Alexandria, relaxed with PBE gives the theoretical PXRD pattern in this record (Cu Kα X-rays).
Intensities are scaled so that the largest is 100.

Cell and atoms:
Unit cell a=7.0967 b=7.8994 c=7.9633 alpha=90.00 beta=90.00 gamma=90.00
Fractional positions:
Na 0.0000 0.0000 0.0000
Na 0.5000 0.5000 0.5000
Pa 0.0000 0.5000 0.0000
Pa 0.5000 0.0000 0.5000
Cu 0.0000 0.1566 0.5000
Cu 0.0000 0.8434 0.5000
Cu 0.5000 0.3434 0.0000
Cu 0.5000 0.6566 0.0000
Te 0.2437 0.2768 0.7890
Te 0.2437 0.7232 0.2110
Te 0.2563 0.2232 0.2890
Te 0.2563 0.7768 0.7110
Te 0.7437 0.2232 0.7110
Te 0.7437 0.7768 0.2890
Te 0.7563 0.2768 0.2110
Te 0.7563 0.7232 0.7890

Principal peaks in the range 2θ from 10° to 90°, low angle first:
| two_theta | I_rel |
| --- | --- |
| 15.80 | 81 |
| 28.07 | 32 |
| 28.18 | 54 |
| 31.92 | 64 |
| 33.84 | 100 |
| 33.96 | 64 |



Entry 5:
For Tl4CuTe3, a crystal structure in Alexandria, relaxed with PBE gives the theoretical PXRD pattern in this record (Cu Kα X-rays).
Intensities are scaled so that the largest is 100.

Cell and atoms:
Unit cell a=9.5238 b=9.5238 c=9.5238 alpha=96.21 beta=96.21 gamma=141.60
Fractional positions:
Tl 0.0902 0.7753 0.8654
Tl 0.2247 0.0902 0.3149
Tl 0.2753 0.5902 0.8654
Tl 0.4098 0.2753 0.6851
Tl 0.5902 0.7247 0.3149
Tl 0.7247 0.4098 0.1346
Tl 0.7753 0.9098 0.6851
Tl 0.9098 0.2247 0.1346
Cu 0.2500 0.7500 0.5000
Cu 0.7500 0.2500 0.5000
Te 0.1237 0.3763 0.5000
Te 0.2500 0.2500 0.0000
Te 0.3763 0.8763 0.2526
Te 0.6237 0.1237 0.7474
Te 0.7500 0.7500 0.0000
Te 0.8763 0.6237 0.5000

Principal peaks in the range 2θ from 10° to 90°, low angle first:
| two_theta | I_rel |
| --- | --- |
| 28.50 | 24 |
| 29.05 | 100 |
| 31.45 | 34 |
| 32.35 | 35 |
| 34.91 | 21 |
| 50.79 | 32 |



Entry 6:
For EuTlP, a crystal structure in Alexandria, relaxed with PBE gives the theoretical PXRD pattern in this record (Cu Kα X-rays).
Intensities are scaled so that the largest is 100.

Cell and atoms:
Unit cell a=4.2865 b=4.2865 c=5.3702 alpha=90.00 beta=90.00 gamma=120.00
Fractional positions:
Eu 0.0000 0.0000 0.0000
Tl 0.6667 0.3333 0.4571
P 0.3333 0.6667 0.7268

Principal peaks in the range 2θ from 10° to 90°, low angle first:
| two_theta | I_rel |
| --- | --- |
| 23.97 | 19 |
| 29.25 | 100 |
| 41.51 | 20 |
| 42.16 | 29 |
| 52.14 | 20 |
| 54.80 | 18 |



Entry 7:
For NaPaIn4O8, a crystal structure in Alexandria, relaxed with PBE gives the theoretical PXRD pattern in this record (Cu Kα X-rays).
Intensities are scaled so that the largest is 100.

Cell and atoms:
Unit cell a=6.6595 b=6.6595 c=6.6595 alpha=59.79 beta=59.79 gamma=59.79
Fractional positions:
Na 0.0000 0.0000 0.0000
Pa 0.6184 0.6184 0.6184
In 0.9997 0.9997 0.4909
In 0.9997 0.4909 0.9997
In 0.3757 0.3757 0.3757
In 0.4909 0.9997 0.9997
O 0.2237 0.7475 0.7475
O 0.2387 0.2387 0.2387
O 0.2540 0.2540 0.7728
O 0.2540 0.7728 0.2540
O 0.7475 0.2237 0.7475
O 0.7475 0.7475 0.2237
O 0.7580 0.7580 0.7580
O 0.7728 0.2540 0.2540

Principal peaks in the range 2θ from 10° to 90°, low angle first:
| two_theta | I_rel |
| --- | --- |
| 26.79 | 85 |
| 31.54 | 100 |
| 31.60 | 72 |
| 47.40 | 31 |
| 50.46 | 39 |
| 55.35 | 30 |



Entry 8:
For SrAc2Pt, a crystal structure in Alexandria, relaxed with PBE gives the theoretical PXRD pattern in this record (Cu Kα X-rays).
Intensities are scaled so that the largest is 100.

Cell and atoms:
Unit cell a=4.2138 b=13.4366 c=10.7544 alpha=90.00 beta=90.00 gamma=90.00
Fractional positions:
Sr 0.0000 0.0893 0.2500
Sr 0.0000 0.9107 0.7500
Sr 0.5000 0.4107 0.7500
Sr 0.5000 0.5893 0.2500
Ac 0.0000 0.3587 0.0712
Ac 0.0000 0.3587 0.4288
Ac 0.0000 0.6413 0.5712
Ac 0.0000 0.6413 0.9288
Ac 0.5000 0.1413 0.5712
Ac 0.5000 0.1413 0.9288
Ac 0.5000 0.8587 0.0712
Ac 0.5000 0.8587 0.4288
Pt 0.0000 0.2223 0.7500
Pt 0.0000 0.7777 0.2500
Pt 0.5000 0.2777 0.2500
Pt 0.5000 0.7223 0.7500

Principal peaks in the range 2θ from 10° to 90°, low angle first:
| two_theta | I_rel |
| --- | --- |
| 13.18 | 53 |
| 27.70 | 58 |
| 28.22 | 65 |
| 30.29 | 67 |
| 33.49 | 100 |
| 33.62 | 54 |



Entry 9:
For LaZr9O20, a crystal structure in Alexandria, relaxed with PBE gives the theoretical PXRD pattern in this record (Cu Kα X-rays).
Intensities are scaled so that the largest is 100.

Cell and atoms:
Unit cell a=6.3818 b=7.3687 c=8.2372 alpha=103.01 beta=97.39 gamma=106.75
Fractional positions:
La 0.0000 0.0000 0.0000
Zr 0.0000 0.5000 0.0000
Zr 0.2013 0.4020 0.4028
Zr 0.2030 0.9005 0.4021
Zr 0.3994 0.3015 0.7987
Zr 0.3993 0.7983 0.8003
Zr 0.6007 0.2017 0.1997
Zr 0.6006 0.6985 0.2013
Zr 0.7970 0.0995 0.5979
Zr 0.7987 0.5980 0.5972
O 0.0475 0.2404 0.8394
O 0.0522 0.7037 0.8368
O 0.1434 0.1713 0.5454
O 0.1499 0.6743 0.5433
O 0.2636 0.6258 0.2492
O 0.2725 0.1364 0.2661
O 0.3561 0.5748 0.9511
O 0.3717 0.0804 0.9429
O 0.4419 0.5194 0.6470
O 0.4428 0.0253 0.6453
O 0.5572 0.9747 0.3547
O 0.5581 0.4806 0.3530
O 0.6283 0.9196 0.0571
O 0.6439 0.4252 0.0489
O 0.7275 0.8636 0.7339
O 0.7364 0.3742 0.7508
O 0.8501 0.3257 0.4567
O 0.8566 0.8287 0.4546
O 0.9478 0.2963 0.1632
O 0.9525 0.7596 0.1606

Principal peaks in the range 2θ from 10° to 90°, low angle first:
| two_theta | I_rel |
| --- | --- |
| 29.70 | 100 |
| 34.43 | 22 |
| 49.48 | 59 |
| 58.78 | 38 |
| 72.58 | 8 |
| 80.31 | 12 |



Entry 10:
For Ti3Ga2Ir3, a crystal structure in Alexandria, relaxed with PBE gives the theoretical PXRD pattern in this record (Cu Kα X-rays).
Intensities are scaled so that the largest is 100.

Cell and atoms:
Unit cell a=2.9350 b=4.5702 c=18.5302 alpha=90.00 beta=90.00 gamma=90.00
Fractional positions:
Ti 0.0000 0.0000 0.0000
Ti 0.0000 0.5000 0.1279
Ti 0.0000 0.5000 0.8721
Ti 0.5000 0.0000 0.3721
Ti 0.5000 0.0000 0.6279
Ti 0.5000 0.5000 0.5000
Ga 0.0000 0.0000 0.2367
Ga 0.0000 0.0000 0.7633
Ga 0.5000 0.5000 0.2633
Ga 0.5000 0.5000 0.7367
Ir 0.0000 0.0000 0.5000
Ir 0.0000 0.5000 0.3857
Ir 0.0000 0.5000 0.6143
Ir 0.5000 0.0000 0.1143
Ir 0.5000 0.0000 0.8857
Ir 0.5000 0.5000 0.0000

Principal peaks in the range 2θ from 10° to 90°, low angle first:
| two_theta | I_rel |
| --- | --- |
| 24.23 | 28 |
| 30.85 | 19 |
| 31.07 | 20 |
| 38.88 | 25 |
| 39.43 | 33 |
| 41.43 | 100 |



Entry 11:
For LiEuSn, a crystal structure in Alexandria, relaxed with PBE gives the theoretical PXRD pattern in this record (Cu Kα X-rays).
Intensities are scaled so that the largest is 100.

Cell and atoms:
Unit cell a=4.9578 b=4.9578 c=3.7602 alpha=90.00 beta=90.00 gamma=120.00
Fractional positions:
Li 0.0000 0.0000 0.0000
Eu 0.3333 0.6667 0.5000
Sn 0.6667 0.3333 0.0000

Principal peaks in the range 2θ from 10° to 90°, low angle first:
| two_theta | I_rel |
| --- | --- |
| 20.69 | 45 |
| 31.63 | 100 |
| 36.24 | 48 |
| 48.85 | 30 |
| 61.95 | 20 |
| 62.32 | 29 |



Entry 12:
For Ba3Li7Hg4, a crystal structure in Alexandria, relaxed with PBE gives the theoretical PXRD pattern in this record (Cu Kα X-rays).
Intensities are scaled so that the largest is 100.

Cell and atoms:
Unit cell a=9.2249 b=9.2249 c=10.6488 alpha=124.40 beta=124.40 gamma=31.51
Fractional positions:
Ba 0.0000 0.0000 0.0000
Ba 0.3027 0.3027 0.3092
Ba 0.6973 0.6973 0.6908
Li 0.0000 0.0000 0.5000
Li 0.1323 0.1323 0.4071
Li 0.3129 0.3129 0.9813
Li 0.4954 0.4954 0.2794
Li 0.5046 0.5046 0.7206
Li 0.6871 0.6871 0.0187
Li 0.8677 0.8677 0.5929
Hg 0.1121 0.1121 0.8214
Hg 0.3365 0.3365 0.6897
Hg 0.6635 0.6635 0.3103
Hg 0.8879 0.8879 0.1786

Principal peaks in the range 2θ from 10° to 90°, low angle first:
| two_theta | I_rel |
| --- | --- |
| 20.61 | 33 |
| 23.13 | 65 |
| 23.27 | 56 |
| 25.73 | 37 |
| 30.90 | 100 |
| 35.83 | 47 |



Q: What is the formula in the ninth record?
A: LaZr9O20



Q: What is the formula in the twelfth record?
A: Ba3Li7Hg4